Diffraction record for Cs2PrFe2O6. The XRD peak list is computed, not measured: it uses a PBE+U-relaxed structure and λ = 1.5418 Å (Cu Kα).
Lines closer than 0.1° are merged.

Top 10 peaks for 2θ from 10° to 90°, by intensity:
| Position (°2θ) | d_spacing | I/Imax |
| --- | --- | --- |
| 28.06 | 3.180 | 100 |
| 29.07 | 3.072 | 76 |
| 25.14 | 3.543 | 38 |
| 50.29 | 1.814 | 30 |
| 53.03 | 1.727 | 30 |
| 38.03 | 2.366 | 29 |
| 40.84 | 2.209 | 28 |
| 49.66 | 1.836 | 20 |
| 58.01 | 1.590 | 19 |
| 66.18 | 1.412 | 15 |

Atomic structure:
Cell: 7.1792 7.1792 7.1792 Å, 52.58 52.58 52.58°
Atoms (fractional coordinates):
Cs 0.2205 0.2205 0.2205
Cs 0.7795 0.7795 0.7795
Pr 0.0000 0.0000 0.0000
Fe 0.4248 0.4248 0.4248
Fe 0.5752 0.5752 0.5752
O 0.2518 0.2518 0.7318
O 0.2518 0.7318 0.2518
O 0.2682 0.7482 0.7482
O 0.7318 0.2518 0.2518
O 0.7482 0.2682 0.7482
O 0.7482 0.7482 0.2682